This entry pairs a crystal structure of UVNiP2 with its calculated X-ray powder pattern. Radiation: a wavelength of 1.5418 Å. Structure: a cell relaxed with PBE.
Peak positions follow from Bragg's law for the DFT cell and can differ from measured ones.

Peak list (10 most intense, 10° ≤ 2θ ≤ 80°, sorted by position)
- (1 0 1), 2θ = 25.20°, rel. 76
- (0 0 4), 2θ = 33.55°, rel. 23
- (1 0 3), 2θ = 34.76°, rel. 75
- (1 1 2), 2θ = 37.93°, rel. 100
- (2 0 0), 2θ = 48.63°, rel. 33
- (1 0 5), 2θ = 49.09°, rel. 31
- (2 1 1), 2θ = 55.55°, rel. 20
- (2 1 3), 2θ = 61.16°, rel. 30
- (1 1 6), 2θ = 62.90°, rel. 20
- (2 1 5), 2θ = 71.59°, rel. 21

Atomic structure:
```
data_UVNiP2
_chemical_formula_sum 'U2 V2 Ni2 P4'
_symmetry_space_group_name_H-M 'I -4 m 2'
_symmetry_Int_Tables_number 119
_symmetry_space_group_name_Hall 'I -4 -2'
_cell_length_a 3.7445
_cell_length_b 3.7445
_cell_length_c 10.6835
_cell_angle_alpha 90.00
_cell_angle_beta 90.00
_cell_angle_gamma 90.00
loop_
_atom_site_label
_atom_site_fract_x
_atom_site_fract_y
_atom_site_fract_z
U1 0.0000 0.0000 0.0000
V1 0.0000 0.5000 0.2500
Ni1 0.0000 0.5000 0.7500
P1 0.0000 0.0000 0.3806
```

***

This entry pairs a crystal structure of Sr2AlPPd6 with its calculated X-ray powder pattern. Radiation: a wavelength of 1.5418 Å. Structure: a cell relaxed with PBE.
Peak positions follow from Bragg's law for the DFT cell and can differ from measured ones.

Peak list (10 most intense, 10° ≤ 2θ ≤ 80°, sorted by position)
- (0 0 1), 2θ = 15.34°, rel. 46
- (1 1 -1), 2θ = 30.36°, rel. 70
- (0 0 2), 2θ = 30.97°, rel. 18
- (0 2 0), 2θ = 33.59°, rel. 50
- (2 2 2), 2θ = 33.79°, rel. 100
- (2 0 2), 2θ = 38.35°, rel. 97
- (0 2 3), 2θ = 49.19°, rel. 18
- (3 3 1), 2θ = 51.64°, rel. 19
- (2 4 2), 2θ = 57.03°, rel. 25
- (4 2 2), 2θ = 57.34°, rel. 17

Atomic structure:
```
data_Sr2AlPPd6
_chemical_formula_sum 'Sr2 Al1 P1 Pd6'
_symmetry_space_group_name_H-M 'P -1'
_symmetry_Int_Tables_number 2
_cell_length_a 6.4288
_cell_length_b 6.4547
_cell_length_c 6.8610
_cell_angle_alpha 62.20
_cell_angle_beta 62.12
_cell_angle_gamma 60.24
loop_
_symmetry_equiv_pos_as_xyz
'x,y,z'
'-x,-y,-z'
loop_
_atom_site_label
_atom_site_fract_x
_atom_site_fract_y
_atom_site_fract_z
Sr1 0.2222 0.2213 0.3344
Al1 0.5000 0.5000 0.5000
P1 0.0000 0.0000 0.0000
Pd1 0.2455 0.2466 0.8331
Pd2 0.2457 0.6738 0.8339
Pd3 0.3259 0.7535 0.1662
```

***

This entry pairs a crystal structure of Rb4Cl2F with its calculated X-ray powder pattern. Radiation: a wavelength of 1.5418 Å. Structure: a cell relaxed with PBE.
Peak positions follow from Bragg's law for the DFT cell and can differ from measured ones.

Peak list (10 most intense, 10° ≤ 2θ ≤ 80°, sorted by position)
- (0 0 2), 2θ = 10.45°, rel. 16
- (1 1 0), 2θ = 22.33°, rel. 24
- (1 1 2), 2θ = 24.74°, rel. 100
- (1 0 5), 2θ = 30.84°, rel. 87
- (2 0 0), 2θ = 31.80°, rel. 87
- (2 1 5), 2θ = 44.90°, rel. 30
- (2 2 0), 2θ = 45.59°, rel. 48
- (3 1 2), 2θ = 52.57°, rel. 27
- (3 0 5), 2θ = 56.09°, rel. 21
- (4 2 0), 2θ = 75.59°, rel. 16

Atomic structure:
```
data_Rb4Cl2F
_chemical_formula_sum 'Rb8 Cl4 F2'
_symmetry_space_group_name_H-M 'I 4/m m m'
_symmetry_Int_Tables_number 139
_symmetry_space_group_name_Hall '-I 4 2'
_cell_length_a 5.6245
_cell_length_b 5.6245
_cell_length_c 16.9232
_cell_angle_alpha 90.00
_cell_angle_beta 90.00
_cell_angle_gamma 90.00
loop_
_atom_site_label
_atom_site_fract_x
_atom_site_fract_y
_atom_site_fract_z
Rb1 0.0000 0.0000 0.1867
Rb2 0.0000 0.5000 0.0000
Cl1 0.0000 0.0000 0.3822
F1 0.0000 0.0000 0.0000
```